Diffraction record for Li4Cr3Fe3Sb2O16. The XRD peak list is simulated, not measured: it uses the PBE+U geometry in the Materials Project and Cu Kα (λ = 1.5418 Å).
Lines closer than 0.1° are merged.

Atomic structure:
a = 5.955 Å, b = 5.955 Å, c = 9.652 Å
α = 90.18°, β = 90.18°, γ = 60.15°
Fractional coordinates of all 28 atoms:
Li 0.000 0.000 0.000
Li 0.001 0.001 0.498
Li 0.336 0.336 0.409
Li 0.668 0.668 0.913
Cr 0.173 0.173 0.722
Cr 0.341 0.832 0.222
Cr 0.832 0.341 0.222
Fe 0.173 0.662 0.723
Fe 0.662 0.173 0.723
Fe 0.830 0.830 0.222
Sb 0.334 0.334 0.000
Sb 0.670 0.670 0.493
O 0.002 0.002 0.813
O 0.038 0.480 0.855
O 0.163 0.671 0.105
O 0.166 0.166 0.106
O 0.336 0.837 0.602
O 0.337 0.337 0.615
O 0.480 0.038 0.855
O 0.483 0.483 0.859
O 0.521 0.521 0.351
O 0.522 0.967 0.350
O 0.671 0.163 0.105
O 0.671 0.671 0.119
O 0.835 0.835 0.603
O 0.837 0.336 0.602
O 0.967 0.522 0.350
O 0.997 0.997 0.312

Peak list (12 most intense, 10° ≤ 2θ ≤ 80°, by angle)
2θ/deg	intensity
19.5	100
25.3	31
32.8	31
34.8	11
35.4	34
35.5	16
36.0	24
39.6	13
45.0	24
55.0	13
59.8	13
62.4	16


Diffraction record for Li3VPCO7. The XRD peak list is simulated, not measured: it uses the PBE+U geometry in the Materials Project and Cu Kα (λ = 1.5418 Å).
Lines closer than 0.1° are merged.

Atomic structure:
a = 6.616 Å, b = 8.514 Å, c = 9.995 Å
α = 95.26°, β = 90.27°, γ = 90.38°
Fractional coordinates of all 52 atoms:
Li 0.000 0.000 0.000
Li 0.000 0.006 0.492
Li 0.230 0.180 0.750
Li 0.235 0.180 0.272
Li 0.280 0.616 0.507
Li 0.281 0.618 0.010
Li 0.489 0.810 0.768
Li 0.493 0.802 0.267
Li 0.498 0.237 0.490
Li 0.720 0.620 0.010
Li 0.759 0.178 0.272
Li 0.767 0.181 0.750
V 0.000 0.570 0.784
V 0.003 0.568 0.275
V 0.499 0.228 0.988
V 0.736 0.627 0.517
P 0.000 0.309 0.023
P 0.498 0.483 0.245
P 0.499 0.491 0.745
P 0.999 0.307 0.523
C 0.497 0.939 0.535
C 0.499 0.935 0.037
C 0.995 0.865 0.731
C 0.996 0.864 0.232
O 0.000 0.330 0.180
O 0.001 0.476 0.974
O 0.002 0.828 0.854
O 0.181 0.207 0.969
O 0.186 0.212 0.474
O 0.317 0.593 0.799
O 0.319 0.591 0.296
O 0.493 0.049 0.632
O 0.496 0.320 0.296
O 0.496 0.789 0.567
O 0.498 0.973 0.914
O 0.499 0.325 0.795
O 0.499 0.967 0.411
O 0.500 0.048 0.133
O 0.500 0.789 0.065
O 0.502 0.474 0.588
O 0.503 0.469 0.088
O 0.683 0.586 0.300
O 0.683 0.595 0.799
O 0.811 0.209 0.474
O 0.816 0.206 0.968
O 0.988 0.746 0.636
O 0.995 0.823 0.356
O 0.997 0.007 0.699
O 0.997 0.009 0.207
O 0.998 0.476 0.471
O 0.998 0.751 0.135
O 0.999 0.333 0.681

Peak list (12 most intense, 10° ≤ 2θ ≤ 80°, by angle)
2θ/deg	intensity
10.4	100
19.8	24
21.5	29
25.5	30
26.3	26
27.0	95
31.7	15
34.3	15
36.1	22
36.7	31
51.1	16
55.6	20


Diffraction record for ErWO5. The XRD peak list is simulated, not measured: it uses the PBE+U geometry in the Materials Project and Cu Kα (λ = 1.5418 Å).
Lines closer than 0.1° are merged.

Atomic structure:
a = 5.284 Å, b = 12.643 Å, c = 6.930 Å
α = 90.00°, β = 117.03°, γ = 90.00°
Fractional coordinates of all 28 atoms:
Er 0.141 0.055 0.285
Er 0.141 0.445 0.785
Er 0.859 0.555 0.215
Er 0.859 0.945 0.715
W 0.392 0.138 0.846
W 0.392 0.362 0.346
W 0.608 0.638 0.654
W 0.608 0.862 0.154
O 0.012 0.085 0.558
O 0.012 0.415 0.058
O 0.196 0.065 0.971
O 0.196 0.435 0.471
O 0.266 0.647 0.418
O 0.266 0.853 0.918
O 0.292 0.225 0.290
O 0.292 0.275 0.790
O 0.485 0.572 0.845
O 0.485 0.928 0.345
O 0.515 0.072 0.655
O 0.515 0.428 0.155
O 0.708 0.725 0.210
O 0.708 0.775 0.710
O 0.734 0.147 0.082
O 0.734 0.353 0.582
O 0.804 0.565 0.529
O 0.804 0.935 0.029
O 0.988 0.585 0.942
O 0.988 0.915 0.442

Peak list (12 most intense, 10° ≤ 2θ ≤ 80°, by angle)
2θ/deg	intensity
14.0	60
20.1	100
22.7	70
26.4	50
27.3	63
27.7	88
28.4	52
31.8	43
32.0	73
34.8	55
45.5	41
53.2	44


Diffraction record for LiMnP3O9. The XRD peak list is simulated, not measured: it uses the PBE+U geometry in the Materials Project and Cu Kα (λ = 1.5418 Å).
Lines closer than 0.1° are merged.

Atomic structure:
a = 9.198 Å, b = 7.405 Å, c = 12.104 Å
α = 90.00°, β = 90.00°, γ = 90.00°
Fractional coordinates of all 56 atoms:
Li 0.027 0.250 0.031
Li 0.473 0.750 0.531
Li 0.527 0.250 0.469
Li 0.973 0.750 0.969
Mn 0.023 0.750 0.214
Mn 0.477 0.250 0.714
Mn 0.523 0.750 0.286
Mn 0.977 0.250 0.786
P 0.193 0.250 0.540
P 0.248 0.547 0.849
P 0.248 0.953 0.849
P 0.252 0.047 0.349
P 0.252 0.453 0.349
P 0.307 0.750 0.040
P 0.693 0.250 0.960
P 0.748 0.547 0.651
P 0.748 0.953 0.651
P 0.752 0.047 0.151
P 0.752 0.453 0.151
P 0.807 0.750 0.460
O 0.093 0.250 0.636
O 0.116 0.059 0.883
O 0.116 0.441 0.883
O 0.144 0.750 0.058
O 0.154 0.083 0.459
O 0.154 0.417 0.459
O 0.154 0.518 0.259
O 0.154 0.982 0.259
O 0.189 0.750 0.819
O 0.311 0.250 0.319
O 0.346 0.018 0.759
O 0.346 0.482 0.759
O 0.346 0.583 0.959
O 0.346 0.917 0.959
O 0.356 0.250 0.558
O 0.384 0.559 0.383
O 0.384 0.941 0.383
O 0.407 0.750 0.136
O 0.593 0.250 0.864
O 0.616 0.059 0.617
O 0.616 0.441 0.617
O 0.644 0.750 0.442
O 0.654 0.083 0.041
O 0.654 0.417 0.041
O 0.654 0.518 0.241
O 0.654 0.982 0.241
O 0.689 0.750 0.681
O 0.811 0.250 0.181
O 0.846 0.018 0.741
O 0.846 0.482 0.741
O 0.846 0.583 0.541
O 0.846 0.917 0.541
O 0.856 0.250 0.942
O 0.884 0.559 0.117
O 0.884 0.941 0.117
O 0.907 0.750 0.364

Peak list (12 most intense, 10° ≤ 2θ ≤ 80°, by angle)
2θ/deg	intensity
14.0	46
14.6	9
17.0	100
17.5	49
19.3	12
23.9	45
24.1	11
27.2	11
29.9	42
31.0	16
31.9	11
34.4	20


Diffraction record for Ca4Fe5Te3O18. The XRD peak list is simulated, not measured: it uses the PBE+U geometry in the Materials Project and Cu Kα (λ = 1.5418 Å).
Lines closer than 0.1° are merged.

Atomic structure:
a = 9.061 Å, b = 9.061 Å, c = 10.815 Å
α = 95.83°, β = 95.83°, γ = 68.10°
Fractional coordinates of all 60 atoms:
Ca 0.120 0.447 0.141
Ca 0.126 0.783 0.982
Ca 0.217 0.874 0.518
Ca 0.447 0.120 0.641
Ca 0.553 0.880 0.359
Ca 0.783 0.126 0.482
Ca 0.874 0.217 0.018
Ca 0.880 0.553 0.859
Fe 0.017 0.636 0.424
Fe 0.241 0.509 0.720
Fe 0.340 0.660 0.250
Fe 0.364 0.983 0.076
Fe 0.491 0.759 0.780
Fe 0.509 0.241 0.220
Fe 0.636 0.017 0.924
Fe 0.660 0.340 0.750
Fe 0.759 0.491 0.280
Fe 0.983 0.364 0.576
Te 0.149 0.172 0.336
Te 0.172 0.149 0.836
Te 0.500 0.500 0.000
Te 0.500 0.500 0.500
Te 0.828 0.851 0.164
Te 0.851 0.828 0.664
O 0.027 0.145 0.471
O 0.070 0.334 0.944
O 0.076 0.661 0.803
O 0.093 0.391 0.414
O 0.120 0.678 0.299
O 0.145 0.027 0.971
O 0.193 0.320 0.682
O 0.282 0.581 0.563
O 0.295 0.553 0.068
O 0.320 0.193 0.182
O 0.322 0.880 0.201
O 0.334 0.070 0.444
O 0.339 0.924 0.697
O 0.391 0.093 0.914
O 0.419 0.718 0.937
O 0.426 0.429 0.835
O 0.429 0.426 0.335
O 0.447 0.705 0.432
O 0.553 0.295 0.568
O 0.571 0.574 0.665
O 0.574 0.571 0.165
O 0.581 0.282 0.063
O 0.609 0.907 0.086
O 0.661 0.076 0.303
O 0.666 0.930 0.556
O 0.678 0.120 0.799
O 0.680 0.807 0.818
O 0.705 0.447 0.932
O 0.718 0.419 0.437
O 0.807 0.680 0.318
O 0.855 0.973 0.029
O 0.880 0.322 0.701
O 0.907 0.609 0.586
O 0.924 0.339 0.197
O 0.930 0.666 0.056
O 0.973 0.855 0.529

Peak list (12 most intense, 10° ≤ 2θ ≤ 80°, by angle)
2θ/deg	intensity
19.9	76
21.6	29
27.4	24
27.9	48
31.4	100
31.7	17
32.0	16
32.7	19
33.8	21
34.1	27
45.3	23
59.4	28


Diffraction record for KLiMnO2. The XRD peak list is simulated, not measured: it uses the PBE+U geometry in the Materials Project and Cu Kα (λ = 1.5418 Å).
Lines closer than 0.1° are merged.

Atomic structure:
a = 5.886 Å, b = 5.886 Å, c = 8.480 Å
α = 119.12°, β = 119.12°, γ = 34.13°
Fractional coordinates of all 10 atoms:
K 0.160 0.160 0.133
K 0.840 0.840 0.867
Li 0.338 0.338 0.553
Li 0.662 0.662 0.447
Mn 0.045 0.045 0.684
Mn 0.955 0.955 0.316
O 0.162 0.162 0.558
O 0.466 0.466 0.193
O 0.534 0.534 0.807
O 0.838 0.838 0.442

Peak list (12 most intense, 10° ≤ 2θ ≤ 80°, by angle)
2θ/deg	intensity
16.0	30
18.3	41
24.4	23
27.4	100
31.7	45
32.5	58
35.4	45
37.7	58
40.2	53
42.3	59
53.0	28
55.3	25